Calculated X-ray powder pattern
Compound: GeOF2
Radiation: λ = 1.5418 Å (Cu Kα)
Structure: the PBE geometry in Alexandria

Principal peaks in the range 10° ≤ 2θ ≤ 90°, in order of rising 2θ:
13.9 deg, I = 40.1
19.1 deg, I = 100.0
19.3 deg, I = 45.5
27.7 deg, I = 42.7
29.1 deg, I = 45.3
33.1 deg, I = 17.7
38.2 deg, I = 27.6
41.5 deg, I = 14.9
46.0 deg, I = 15.3
52.2 deg, I = 10.1

Structure:
Cell: 4.9895 4.9269 13.6738 Å, 90.00 111.37 90.00°
Atoms (fractional coordinates):
1 Ge 0.0753 0.0006 0.3253
2 Ge 0.0753 0.4994 0.8253
3 Ge 0.9247 0.5006 0.1747
4 Ge 0.9247 0.9994 0.6747
5 O 0.1634 0.2492 0.7499
6 O 0.1634 0.2508 0.2499
7 O 0.8366 0.7492 0.7501
8 O 0.8366 0.7508 0.2501
9 F 0.0873 0.6568 0.0982
10 F 0.0873 0.8432 0.5982
11 F 0.3908 0.6558 0.9015
12 F 0.3908 0.8442 0.4015
13 F 0.6092 0.1558 0.5985
14 F 0.6092 0.3442 0.0985
15 F 0.9127 0.1568 0.4018
16 F 0.9127 0.3432 0.9018